Ta4MoOs3: simulated powder diffraction line list (Cu Kα (weighted mean of Kα1 and Kα2)), based on a DFT-relaxed cell (GGA-PBE, Alexandria).

Atomic structure:
abc: 3.294 4.454 8.912
angles: 90.00 90.00 90.00
Fractional positions:
Ta  0.000  0.000  0.000
Ta  0.000  0.000  0.500
Ta  0.000  0.500  0.248
Ta  0.000  0.500  0.752
Mo  0.500  0.500  0.000
Os  0.500  0.000  0.255
Os  0.500  0.000  0.745
Os  0.500  0.500  0.500

Principal peaks in the range 15 to 90 degrees two-theta, sorted by position:
d = 2.277 Å, intensity 100.0; d = 2.228 Å, intensity 46.9; d = 1.575 Å, intensity 16.0; d = 1.324 Å, intensity 18.0; d = 1.295 Å, intensity 33.4; d = 1.138 Å, intensity 11.4